No. 1
Diffraction record for AsSCl3F6. The X-ray diffraction stick pattern is calculated, not measured: it uses a DFT-relaxed cell (GGA-PBE, the Materials Project) and Cu Kα (λ = 1.5418 Å).

Largest 12 diffraction maxima, by angle, 10° ≤ 2θ ≤ 80°:
hkl 1 1 0, 2θ 14.79, 5.991 Å, I = 12
hkl 0 1 2, 2θ 17.54, 5.057 Å, I = 20
hkl 1 0 2, 2θ 18.16, 4.885 Å, I = 21
hkl 0 2 0, 2θ 19.88, 4.466 Å, I = 33
hkl 1 1 2, 2θ 20.72, 4.286 Å, I = 100
hkl 2 0 0, 2θ 22.01, 4.038 Å, I = 32
hkl 2 1 1, 2θ 25.27, 3.524 Å, I = 21
hkl 1 1 3, 2θ 26.39, 3.378 Å, I = 13
hkl 1 2 2, 2θ 27.05, 3.296 Å, I = 44
hkl 1 0 4, 2θ 31.19, 2.868 Å, I = 14
hkl 2 3 1, 2θ 38.24, 2.354 Å, I = 11
hkl 3 1 3, 2θ 41.41, 2.181 Å, I = 11

abc: 8.0760 8.9323 12.2688
angles: 90.00 90.00 90.00
Element x y z (fractional)
As 0.2059 0.0308 0.3127
As 0.2941 0.9692 0.8127
As 0.7059 0.4692 0.6873
As 0.7941 0.5308 0.1873
S 0.1593 0.4747 0.4751
S 0.3407 0.5253 0.9751
S 0.6593 0.0253 0.5249
S 0.8407 0.9747 0.0249
Cl 0.1419 0.5098 0.8788
Cl 0.1654 0.6684 0.5553
Cl 0.2219 0.3270 0.5888
Cl 0.2781 0.6730 0.0888
Cl 0.3346 0.3316 0.0553
Cl 0.3581 0.4902 0.3788
Cl 0.6419 0.9902 0.1212
Cl 0.6654 0.8316 0.4447
Cl 0.7219 0.1730 0.4112
Cl 0.7781 0.8270 0.9112
Cl 0.8346 0.1684 0.9447
Cl 0.8581 0.0098 0.6212
F 0.0397 0.9361 0.3759
F 0.0972 0.0371 0.1873
F 0.1168 0.2062 0.3499
F 0.1246 0.8740 0.7502
F 0.1815 0.9715 0.9376
F 0.2037 0.1434 0.7756
F 0.2963 0.8566 0.2756
F 0.3185 0.0285 0.4376
F 0.3754 0.1260 0.2502
F 0.3832 0.7938 0.8499
F 0.4028 0.9629 0.6873
F 0.4603 0.0639 0.8759
F 0.5397 0.5639 0.6241
F 0.5972 0.4629 0.8127
F 0.6168 0.2938 0.6501
F 0.6246 0.6260 0.2498
F 0.6815 0.5285 0.0624
F 0.7037 0.3566 0.2244
F 0.7963 0.6434 0.7244
F 0.8185 0.4715 0.5624
F 0.8754 0.3740 0.7498
F 0.8832 0.7062 0.1501
F 0.9028 0.5371 0.3127
F 0.9603 0.4361 0.1241



No. 2
Diffraction record for BaReH9. The X-ray diffraction stick pattern is calculated, not measured: it uses a DFT-relaxed cell (GGA-PBE, the Materials Project) and Cu Kα (λ = 1.5418 Å).

Largest 12 diffraction maxima, by angle, 10° ≤ 2θ ≤ 80°:
hkl 0 1 1, 2θ 21.06, 4.219 Å, I = 18
hkl 1 1 0, 2θ 21.17, 4.198 Å, I = 31
hkl 1 1 -1, 2θ 22.19, 4.007 Å, I = 41
hkl 0 2 1, 2θ 26.68, 3.342 Å, I = 100
hkl 1 2 -1, 2θ 27.55, 3.237 Å, I = 13
hkl 1 0 1, 2θ 32.34, 2.769 Å, I = 22
hkl 1 3 0, 2θ 34.13, 2.627 Å, I = 14
hkl 1 0 -2, 2θ 34.39, 2.608 Å, I = 13
hkl 2 0 -1, 2θ 34.60, 2.593 Å, I = 15
hkl 0 4 0, 2θ 37.81, 2.379 Å, I = 15
hkl 2 2 -2, 2θ 45.25, 2.004 Å, I = 19
hkl 1 4 1, 2θ 50.59, 1.804 Å, I = 13

abc: 5.1971 9.5165 5.2299
angles: 90.00 115.85 90.00
Element x y z (fractional)
Ba 0.0000 0.0000 0.0000
Ba 0.0000 0.5000 0.0000
Re 0.3484 0.2500 0.6056
Re 0.6516 0.7500 0.3944
H 0.0558 0.1435 0.5091
H 0.0558 0.3565 0.5091
H 0.1584 0.2500 0.2524
H 0.2846 0.2500 0.8995
H 0.2928 0.7500 0.1749
H 0.4394 0.0929 0.7704
H 0.4394 0.4071 0.7704
H 0.4988 0.1453 0.4437
H 0.4988 0.3547 0.4437
H 0.5012 0.6453 0.5563
H 0.5012 0.8547 0.5563
H 0.5606 0.5929 0.2296
H 0.5606 0.9071 0.2296
H 0.7072 0.2500 0.8251
H 0.7154 0.7500 0.1005
H 0.8416 0.7500 0.7476
H 0.9442 0.6435 0.4909
H 0.9442 0.8565 0.4909



No. 3
Diffraction record for Rb2Na3InO4. The X-ray diffraction stick pattern is calculated, not measured: it uses a DFT-relaxed cell (GGA-PBE, the Materials Project) and Cu Kα (λ = 1.5418 Å).

Largest 12 diffraction maxima, by angle, 10° ≤ 2θ ≤ 80°:
hkl 0 1 1, 2θ 14.74, 6.009 Å, I = 25
hkl 1 2 0, 2θ 20.09, 4.420 Å, I = 21
hkl 0 0 2, 2θ 23.48, 3.789 Å, I = 25
hkl 3 1 0, 2θ 28.82, 3.098 Å, I = 20
hkl 0 2 2, 2θ 29.73, 3.005 Å, I = 50
hkl 2 0 2, 2θ 29.88, 2.991 Å, I = 100
hkl 1 3 1, 2θ 30.93, 2.891 Å, I = 58
hkl 4 0 0, 2θ 36.75, 2.446 Å, I = 33
hkl 3 3 1, 2θ 40.67, 2.218 Å, I = 36
hkl 3 3 2, 2θ 45.89, 1.978 Å, I = 23
hkl 0 0 4, 2θ 48.16, 1.890 Å, I = 24
hkl 4 0 4, 2θ 62.03, 1.496 Å, I = 32

abc: 9.7840 9.9087 7.5583
angles: 90.00 90.00 90.00
Element x y z (fractional)
Rb 0.0000 0.0000 0.2451
Rb 0.0000 0.0000 0.7549
Rb 0.2318 0.2410 0.5000
Rb 0.2682 0.7410 0.0000
Rb 0.5000 0.5000 0.2549
Rb 0.5000 0.5000 0.7451
Rb 0.7318 0.2590 0.0000
Rb 0.7682 0.7590 0.5000
Na 0.0180 0.6465 0.2474
Na 0.0180 0.6465 0.7526
Na 0.2343 0.5810 0.5000
Na 0.2657 0.0810 0.0000
Na 0.4820 0.1465 0.2526
Na 0.4820 0.1465 0.7474
Na 0.5180 0.8535 0.2526
Na 0.5180 0.8535 0.7474
Na 0.7343 0.9190 0.0000
Na 0.7657 0.4190 0.5000
Na 0.9820 0.3535 0.2474
Na 0.9820 0.3535 0.7526
In 0.2243 0.3721 0.0000
In 0.2757 0.8721 0.5000
In 0.7243 0.1279 0.5000
In 0.7757 0.6279 0.0000
O 0.0644 0.2252 0.0000
O 0.0822 0.7745 0.5000
O 0.1933 0.4817 0.2343
O 0.1933 0.4817 0.7657
O 0.3067 0.9817 0.2657
O 0.3067 0.9817 0.7343
O 0.4178 0.2745 0.0000
O 0.4356 0.7252 0.5000
O 0.5644 0.2748 0.5000
O 0.5822 0.7255 0.0000
O 0.6933 0.0183 0.2657
O 0.6933 0.0183 0.7343
O 0.8067 0.5183 0.2343
O 0.8067 0.5183 0.7657
O 0.9178 0.2255 0.5000
O 0.9356 0.7748 0.0000



No. 4
Diffraction record for PuB2Os3. The X-ray diffraction stick pattern is calculated, not measured: it uses a DFT-relaxed cell (GGA-PBE, the Materials Project) and Cu Kα (λ = 1.5418 Å).

Largest 12 diffraction maxima, by angle, 10° ≤ 2θ ≤ 80°:
hkl 0 0 1, 2θ 30.10, 2.969 Å, I = 9
hkl 1 0 1, 2θ 35.46, 2.532 Å, I = 62
hkl 2 0 0, 2θ 37.10, 2.424 Å, I = 100
hkl 1 1 1, 2θ 44.49, 2.036 Å, I = 37
hkl 2 0 1, 2θ 48.49, 1.877 Å, I = 17
hkl 2 1 1, 2θ 59.27, 1.559 Å, I = 29
hkl 0 0 2, 2θ 62.57, 1.485 Å, I = 8
hkl 3 0 1, 2θ 65.81, 1.419 Å, I = 12
hkl 2 2 0, 2θ 66.87, 1.399 Å, I = 19
hkl 2 0 2, 2θ 75.03, 1.266 Å, I = 31
hkl 3 1 1, 2θ 78.03, 1.225 Å, I = 13
hkl 4 0 0, 2θ 79.02, 1.212 Å, I = 12

abc: 5.5970 5.5970 2.9691
angles: 90.00 90.00 120.00
Element x y z (fractional)
Pu 0.0000 0.0000 0.0000
B 0.3333 0.6667 0.0000
B 0.6667 0.3333 0.0000
Os 0.0000 0.5000 0.5000
Os 0.5000 0.0000 0.5000
Os 0.5000 0.5000 0.5000